1.
For Pa3Tl3CuS8, a DFT-relaxed cell (PBE, Alexandria) gives the theoretical X-ray powder pattern in this record (Cu Kα (λ = 1.5418 Å)).
Kinematic intensities with the Lorentz-polarization factor, no thermal factor.

Cell and atoms:
a = 13.2420 Å, b = 8.2981 Å, c = 8.6448 Å
α = 90.00°, β = 118.86°, γ = 90.00°
Space group C2/m (No. 12)
Symmetry-distinct sites (fractional):
Pa1 0.0000 0.0000 0.0000 (multiplicity 2)
Pa2 0.2500 0.2500 0.0000 (multiplicity 4)
Tl1 0.0000 0.5000 0.5000 (multiplicity 2)
Tl2 0.2500 0.2500 0.5000 (multiplicity 4)
Cu1 0.0000 0.5000 0.0000 (multiplicity 2)
S1 0.0240 0.2217 0.7925 (multiplicity 8)
S2 0.1986 0.5000 0.1633 (multiplicity 4)
S3 0.2353 0.0000 0.1986 (multiplicity 4)

Principal peaks in the range 10 to 90 degrees two-theta, low angle first:
two_theta	d (Å)	intensity
14.93	5.933	26
23.50	3.786	47
26.41	3.374	66
28.33	3.150	27
30.13	2.966	100
30.84	2.899	44
40.50	2.227	38
42.62	2.122	18
46.63	1.948	29
48.06	1.893	29

=====

2.
For TcIrO4, a DFT-relaxed cell (PBE, Alexandria) gives the theoretical X-ray powder pattern in this record (Cu Kα (λ = 1.5418 Å)).
Kinematic intensities with the Lorentz-polarization factor, no thermal factor.

Cell and atoms:
a = 6.4801 Å, b = 6.4801 Å, c = 6.3340 Å
α = 90.00°, β = 90.00°, γ = 90.00°
Space group I4_1md (No. 109)
Symmetry-distinct sites (fractional):
Tc1 0.0000 0.0000 0.0000 (multiplicity 4)
Ir1 0.0000 0.0000 0.4994 (multiplicity 4)
O1 0.0000 0.3070 0.0021 (multiplicity 8)
O2 0.0000 0.3082 0.4951 (multiplicity 8)

Principal peaks in the range 10 to 90 degrees two-theta, low angle first:
two_theta	d (Å)	intensity
19.60	4.530	18
27.53	3.240	100
34.42	2.605	88
39.33	2.291	25
53.24	1.720	67
56.83	1.620	15
64.29	1.449	15
65.62	1.423	17
68.16	1.376	19
81.63	1.179	14

=====

3.
For LaSm2Co9, a DFT-relaxed cell (PBE, Alexandria) gives the theoretical X-ray powder pattern in this record (Cu Kα (λ = 1.5418 Å)).
Kinematic intensities with the Lorentz-polarization factor, no thermal factor.

Cell and atoms:
a = 5.0548 Å, b = 5.0548 Å, c = 24.6437 Å
α = 90.00°, β = 90.00°, γ = 120.00°
Space group R-3m (No. 166, hexagonal axes)
Symmetry-distinct sites (fractional):
La1 0.0000 0.0000 0.0000 (multiplicity 3)
Sm1 0.0000 0.0000 0.1399 (multiplicity 6)
Co1 0.0000 0.0000 0.3343 (multiplicity 6)
Co2 0.0000 0.0000 0.5000 (multiplicity 3)
Co3 0.0009 0.5004 0.9188 (multiplicity 18)

Principal peaks in the range 10 to 90 degrees two-theta, low angle first:
two_theta	d (Å)	intensity
32.64	2.743	45
35.52	2.527	49
35.64	2.519	37
41.42	2.180	36
41.97	2.153	100
45.33	2.000	14
61.97	1.497	14
63.83	1.458	22
68.21	1.375	22
75.19	1.264	20

=====

4.
For Nd3GeAs2Rh9, a DFT-relaxed cell (PBE, Alexandria) gives the theoretical X-ray powder pattern in this record (Cu Kα (λ = 1.5418 Å)).
Kinematic intensities with the Lorentz-polarization factor, no thermal factor.

Cell and atoms:
a = 6.3315 Å, b = 6.3315 Å, c = 8.7493 Å
α = 90.00°, β = 90.00°, γ = 120.00°
Space group P-3m1 (No. 164)
Symmetry-distinct sites (fractional):
Nd1 0.0000 0.0000 0.0000 (multiplicity 1)
Nd2 0.3333 0.6667 0.6995 (multiplicity 2)
Ge1 0.0000 0.0000 0.5000 (multiplicity 1)
As1 0.3333 0.6667 0.1775 (multiplicity 2)
Rh1 0.0000 0.5000 0.0000 (multiplicity 3)
Rh2 0.1428 0.2857 0.2849 (multiplicity 6)

Principal peaks in the range 10 to 90 degrees two-theta, low angle first:
two_theta	d (Å)	intensity
10.11	8.749	19
28.19	3.166	15
30.65	2.916	20
34.28	2.616	72
38.76	2.323	100
45.40	1.998	17
48.61	1.873	15
53.60	1.710	23
58.29	1.583	28
72.22	1.308	14

=====

5.
For Zn5Ga2Cu5, a DFT-relaxed cell (PBE, Alexandria) gives the theoretical X-ray powder pattern in this record (Cu Kα (λ = 1.5418 Å)).
Kinematic intensities with the Lorentz-polarization factor, no thermal factor.

Cell and atoms:
a = 7.2026 Å, b = 4.2154 Å, c = 11.5832 Å
α = 90.00°, β = 101.98°, γ = 90.00°
Space group C2/m (No. 12)
Symmetry-distinct sites (fractional):
Zn1 0.0000 0.0000 0.0000 (multiplicity 2)
Zn2 0.1955 0.0000 0.5886 (multiplicity 4)
Zn3 0.2273 0.5000 0.1629 (multiplicity 4)
Ga1 0.0722 0.5000 0.7256 (multiplicity 4)
Cu1 0.0000 0.5000 0.5000 (multiplicity 2)
Cu2 0.1218 0.0000 0.3597 (multiplicity 4)
Cu3 0.1453 0.5000 0.9427 (multiplicity 4)

Principal peaks in the range 10 to 90 degrees two-theta, low angle first:
two_theta	d (Å)	intensity
36.17	2.484	11
42.58	2.123	58
42.73	2.116	28
42.91	2.108	52
43.37	2.086	100
44.88	2.020	27
45.04	2.013	13
62.16	1.493	17
78.94	1.213	24
79.95	1.200	12

=====

6.
For PaIn5Co, a DFT-relaxed cell (PBE, Alexandria) gives the theoretical X-ray powder pattern in this record (Cu Kα (λ = 1.5418 Å)).
Kinematic intensities with the Lorentz-polarization factor, no thermal factor.

Cell and atoms:
a = 4.6166 Å, b = 4.6166 Å, c = 7.4357 Å
α = 90.00°, β = 90.00°, γ = 90.00°
Space group P4/mmm (No. 123)
Symmetry-distinct sites (fractional):
Pa1 0.0000 0.0000 0.0000 (multiplicity 1)
In1 0.0000 0.5000 0.3059 (multiplicity 4)
In2 0.5000 0.5000 0.0000 (multiplicity 1)
Co1 0.0000 0.0000 0.5000 (multiplicity 1)

Principal peaks in the range 10 to 90 degrees two-theta, low angle first:
two_theta	d (Å)	intensity
29.89	2.989	57
36.24	2.479	21
36.63	2.453	100
39.02	2.308	55
54.31	1.689	26
56.37	1.632	18
65.11	1.433	13
68.88	1.363	13
69.13	1.359	30
69.45	1.353	14

=====

7.
For BaGa12Ir4, a DFT-relaxed cell (PBE, Alexandria) gives the theoretical X-ray powder pattern in this record (Cu Kα (λ = 1.5418 Å)).
Kinematic intensities with the Lorentz-polarization factor, no thermal factor.

Cell and atoms:
a = 9.6513 Å, b = 9.6513 Å, c = 9.6513 Å
α = 90.00°, β = 90.00°, γ = 90.00°
Space group Im-3m (No. 229)
Symmetry-distinct sites (fractional):
Ba1 0.0000 0.0000 0.0000 (multiplicity 2)
Ga1 0.0000 0.2594 0.2594 (multiplicity 24)
Ir1 0.2500 0.2500 0.2500 (multiplicity 8)

Principal peaks in the range 10 to 90 degrees two-theta, low angle first:
two_theta	d (Å)	intensity
18.39	4.826	100
26.11	3.412	36
37.27	2.413	63
41.86	2.158	50
46.07	1.970	17
53.73	1.706	43
57.27	1.609	25
67.20	1.393	14
70.34	1.338	10
82.40	1.170	14

=====

8.
For PrNd2Ga2, a DFT-relaxed cell (PBE, Alexandria) gives the theoretical X-ray powder pattern in this record (Cu Kα (λ = 1.5418 Å)).
Kinematic intensities with the Lorentz-polarization factor, no thermal factor.

Cell and atoms:
a = 7.8767 Å, b = 7.8767 Å, c = 4.5455 Å
α = 90.00°, β = 90.00°, γ = 90.00°
Space group P4/mbm (No. 127)
Symmetry-distinct sites (fractional):
Pr1 0.0000 0.0000 0.0000 (multiplicity 2)
Nd1 0.1741 0.3259 0.5000 (multiplicity 4)
Ga1 0.1167 0.6167 0.0000 (multiplicity 4)

Principal peaks in the range 10 to 90 degrees two-theta, low angle first:
two_theta	d (Å)	intensity
25.29	3.522	23
30.02	2.977	58
32.15	2.784	100
36.06	2.491	38
39.66	2.273	22
51.92	1.761	23
53.30	1.719	15
54.67	1.679	23
63.62	1.462	24
67.25	1.392	23

=====

9.
For LaCe2NpP4, a DFT-relaxed cell (PBE, Alexandria) gives the theoretical X-ray powder pattern in this record (Cu Kα (λ = 1.5418 Å)).
Kinematic intensities with the Lorentz-polarization factor, no thermal factor.

Cell and atoms:
a = 5.8106 Å, b = 5.8106 Å, c = 11.6237 Å
α = 90.00°, β = 90.00°, γ = 90.00°
Space group I-4m2 (No. 119)
Symmetry-distinct sites (fractional):
La1 0.0000 0.0000 0.0000 (multiplicity 2)
Ce1 0.0000 0.0000 0.5000 (multiplicity 2)
Ce2 0.0000 0.5000 0.2500 (multiplicity 2)
Np1 0.0000 0.5000 0.7500 (multiplicity 2)
P1 0.0000 0.0000 0.2552 (multiplicity 4)
P2 0.0000 0.5000 0.5045 (multiplicity 4)

Principal peaks in the range 10 to 90 degrees two-theta, low angle first:
two_theta	d (Å)	intensity
26.57	3.355	87
30.77	2.906	100
44.08	2.055	74
52.21	1.752	44
54.72	1.677	26
64.10	1.453	12
70.66	1.333	18
72.78	1.299	33
81.07	1.186	25
87.16	1.118	14

=====

10.
For Tm2ThCu6, a DFT-relaxed cell (PBE, Alexandria) gives the theoretical X-ray powder pattern in this record (Cu Kα (λ = 1.5418 Å)).
Kinematic intensities with the Lorentz-polarization factor, no thermal factor.

Cell and atoms:
a = 7.3639 Å, b = 7.3639 Å, c = 3.5365 Å
α = 90.00°, β = 90.00°, γ = 120.00°
Space group P6/mmm (No. 191)
Symmetry-distinct sites (fractional):
Tm1 0.3333 0.6667 0.0000 (multiplicity 2)
Th1 0.0000 0.0000 0.0000 (multiplicity 1)
Cu1 0.0000 0.3365 0.5000 (multiplicity 6)

Principal peaks in the range 10 to 90 degrees two-theta, low angle first:
two_theta	d (Å)	intensity
24.17	3.682	27
35.19	2.551	100
42.53	2.126	48
51.69	1.768	9
56.34	1.633	26
57.85	1.594	5
69.10	1.359	22
73.07	1.295	23
77.83	1.227	8
86.73	1.123	8

=====

11.
For KCaSeI, a DFT-relaxed cell (PBE, Alexandria) gives the theoretical X-ray powder pattern in this record (Cu Kα (λ = 1.5418 Å)).
Kinematic intensities with the Lorentz-polarization factor, no thermal factor.

Cell and atoms:
a = 4.4504 Å, b = 4.4504 Å, c = 24.4803 Å
α = 90.00°, β = 90.00°, γ = 120.00°
Space group R3m (No. 160, hexagonal axes)
Symmetry-distinct sites (fractional):
K1 0.0000 0.0000 0.0000 (multiplicity 3)
Ca1 0.0000 0.0000 0.8062 (multiplicity 3)
Se1 0.0000 0.0000 0.4176 (multiplicity 3)
I1 0.0000 0.0000 0.2269 (multiplicity 3)

Principal peaks in the range 10 to 90 degrees two-theta, low angle first:
two_theta	d (Å)	intensity
23.37	3.807	36
24.21	3.676	19
27.35	3.261	36
29.50	3.028	100
34.63	2.590	16
40.54	2.225	45
43.81	2.066	24
50.93	1.793	21
53.18	1.722	13
67.03	1.396	17

=====

12.
For LiPaNi, a DFT-relaxed cell (PBE, Alexandria) gives the theoretical X-ray powder pattern in this record (Cu Kα (λ = 1.5418 Å)).
Kinematic intensities with the Lorentz-polarization factor, no thermal factor.

Cell and atoms:
a = 5.1661 Å, b = 5.4027 Å, c = 16.4796 Å
α = 90.00°, β = 90.00°, γ = 90.00°
Space group Fmmm (No. 69)
Symmetry-distinct sites (fractional):
Li1 0.0000 0.2140 0.0000 (multiplicity 8)
Pa1 0.0000 0.0000 0.3319 (multiplicity 8)
Ni1 0.0000 0.0000 0.1547 (multiplicity 8)

Principal peaks in the range 10 to 90 degrees two-theta, low angle first:
two_theta	d (Å)	intensity
10.74	8.240	100
21.57	4.120	26
28.91	3.088	61
32.60	2.747	36
33.16	2.701	33
34.73	2.583	32
36.40	2.468	27
47.19	1.926	24
48.37	1.882	24
59.91	1.544	24

=====

13.
For Rb3B2H8, a DFT-relaxed cell (PBE, Alexandria) gives the theoretical X-ray powder pattern in this record (Cu Kα (λ = 1.5418 Å)).
Kinematic intensities with the Lorentz-polarization factor, no thermal factor.

Cell and atoms:
a = 4.9039 Å, b = 4.9039 Å, c = 37.2067 Å
α = 90.00°, β = 90.00°, γ = 120.00°
Space group R-3m (No. 166, hexagonal axes)
Symmetry-distinct sites (fractional):
Rb1 0.0000 0.0000 0.0000 (multiplicity 3)
Rb2 0.0000 0.0000 0.2235 (multiplicity 6)
B1 0.0000 0.0000 0.3873 (multiplicity 6)
H1 0.0000 0.0000 0.3541 (multiplicity 6)
H2 0.0601 0.5300 0.2683 (multiplicity 18)

Principal peaks in the range 10 to 90 degrees two-theta, low angle first:
two_theta	d (Å)	intensity
21.05	4.219	23
21.49	4.135	54
23.02	3.863	77
24.13	3.688	100
28.46	3.136	24
36.65	2.452	45
37.91	2.373	32
42.88	2.109	48
43.75	2.069	25
58.37	1.581	34

=====

14.
For Cs2PSF5, a DFT-relaxed cell (PBE, Alexandria) gives the theoretical X-ray powder pattern in this record (Cu Kα (λ = 1.5418 Å)).
Kinematic intensities with the Lorentz-polarization factor, no thermal factor.

Cell and atoms:
a = 6.8891 Å, b = 6.8891 Å, c = 9.0029 Å
α = 90.00°, β = 90.00°, γ = 90.00°
Space group I4mm (No. 107)
Symmetry-distinct sites (fractional):
Cs1 0.0000 0.5000 0.0000 (multiplicity 4)
P1 0.0000 0.0000 0.2451 (multiplicity 2)
S1 0.0000 0.0000 0.0143 (multiplicity 2)
F1 0.0000 0.0000 0.4342 (multiplicity 2)
F2 0.1740 0.1740 0.2619 (multiplicity 8)

Principal peaks in the range 10 to 90 degrees two-theta, low angle first:
two_theta	d (Å)	intensity
16.20	5.471	37
18.21	4.871	43
19.72	4.501	30
25.87	3.445	73
26.97	3.306	100
32.74	2.736	91
36.90	2.436	43
42.19	2.142	27
46.30	1.961	30
48.30	1.884	22